# Tb2YHoO6
Theoretical powder diffractogram, Cu Kα X-rays. Input: the PBE geometry in Alexandria.
Lines closer than 0.1° are merged.

Peak list (10 most intense, 15 to 90 degrees two-theta, by angle)
21.12 deg, intensity 19; 29.41 deg, intensity 100; 30.67 deg, intensity 96; 43.01 deg, intensity 41; 47.54 deg, intensity 30; 51.36 deg, intensity 13; 53.75 deg, intensity 41; 54.53 deg, intensity 28; 63.90 deg, intensity 23; 71.85 deg, intensity 15

```
data_Tb2YHoO6
_cell_length_a 6.085
_cell_length_b 6.085
_cell_length_c 6.085
_cell_angle_alpha 57.24
_cell_angle_beta 57.24
_cell_angle_gamma 57.24
_symmetry_space_group_name_H-M 'P 1'
_symmetry_Int_Tables_number 1
_symmetry_space_group_name_Hall 'P 1'
loop_
_atom_site_label
_atom_site_type_symbol
_atom_site_fract_x
_atom_site_fract_y
_atom_site_fract_z
Tb1 Tb 0.000 0.000 0.000
Tb2 Tb 0.500 0.500 0.500
Y1 Y 0.282 0.282 0.282
Ho1 Ho 0.783 0.783 0.783
O1 O 0.094 0.396 0.681
O2 O 0.179 0.893 0.597
O3 O 0.396 0.681 0.094
O4 O 0.597 0.179 0.893
O5 O 0.681 0.094 0.396
O6 O 0.893 0.597 0.179
```


# HoTlTc2O8
Theoretical powder diffractogram, Cu Kα X-rays. Input: the PBE geometry in Alexandria.
Lines closer than 0.1° are merged.

Peak list (10 most intense, 15 to 90 degrees two-theta, by angle)
17.04 deg, intensity 59; 20.57 deg, intensity 54; 28.76 deg, intensity 100; 29.74 deg, intensity 77; 41.85 deg, intensity 45; 52.18 deg, intensity 39; 52.78 deg, intensity 15; 56.61 deg, intensity 28; 61.76 deg, intensity 13; 69.53 deg, intensity 17

```
data_HoTlTc2O8
_cell_length_a 6.008
_cell_length_b 6.008
_cell_length_c 7.734
_cell_angle_alpha 90.00
_cell_angle_beta 90.00
_cell_angle_gamma 120.00
_symmetry_space_group_name_H-M 'P 1'
_symmetry_Int_Tables_number 1
_symmetry_space_group_name_Hall 'P 1'
loop_
_atom_site_label
_atom_site_type_symbol
_atom_site_fract_x
_atom_site_fract_y
_atom_site_fract_z
Ho1 Ho 0.000 0.000 0.000
Tl1 Tl 0.000 0.000 0.500
Tc1 Tc 0.333 0.667 0.254
Tc2 Tc 0.667 0.333 0.746
O1 O 0.170 0.341 0.176
O2 O 0.170 0.830 0.176
O3 O 0.333 0.667 0.480
O4 O 0.341 0.170 0.824
O5 O 0.659 0.830 0.176
O6 O 0.667 0.333 0.520
O7 O 0.830 0.170 0.824
O8 O 0.830 0.659 0.824
```


# HoTe2O8
Theoretical powder diffractogram, Cu Kα X-rays. Input: the PBE geometry in Alexandria.
Lines closer than 0.1° are merged.

Peak list (10 most intense, 15 to 90 degrees two-theta, by angle)
19.01 deg, intensity 47; 29.42 deg, intensity 100; 30.03 deg, intensity 14; 34.74 deg, intensity 18; 39.89 deg, intensity 15; 48.52 deg, intensity 37; 49.95 deg, intensity 16; 56.49 deg, intensity 15; 59.03 deg, intensity 27; 78.72 deg, intensity 12

```
data_HoTe2O8
_cell_length_a 6.569
_cell_length_b 6.569
_cell_length_c 6.569
_cell_angle_alpha 133.70
_cell_angle_beta 133.70
_cell_angle_gamma 67.55
_symmetry_space_group_name_H-M 'P 1'
_symmetry_Int_Tables_number 1
_symmetry_space_group_name_Hall 'P 1'
loop_
_atom_site_label
_atom_site_type_symbol
_atom_site_fract_x
_atom_site_fract_y
_atom_site_fract_z
Ho1 Ho 0.000 0.000 0.000
Te1 Te 0.250 0.750 0.500
Te2 Te 0.750 0.250 0.500
O1 O 0.057 0.569 0.895
O2 O 0.162 0.057 0.488
O3 O 0.327 0.431 0.488
O4 O 0.431 0.943 0.105
O5 O 0.569 0.673 0.512
O6 O 0.673 0.162 0.105
O7 O 0.838 0.327 0.895
O8 O 0.943 0.838 0.512
```


# HoTeO4
Theoretical powder diffractogram, Cu Kα X-rays. Input: the PBE geometry in Alexandria.
Lines closer than 0.1° are merged.

Peak list (10 most intense, 15 to 90 degrees two-theta, by angle)
22.96 deg, intensity 25; 28.22 deg, intensity 100; 32.70 deg, intensity 16; 34.73 deg, intensity 30; 40.33 deg, intensity 10; 48.48 deg, intensity 17; 49.92 deg, intensity 34; 55.66 deg, intensity 18; 58.39 deg, intensity 20; 60.92 deg, intensity 14

```
data_HoTeO4
_cell_length_a 5.477
_cell_length_b 5.159
_cell_length_c 5.866
_cell_angle_alpha 90.00
_cell_angle_beta 90.00
_cell_angle_gamma 90.00
_symmetry_space_group_name_H-M 'P 1'
_symmetry_Int_Tables_number 1
_symmetry_space_group_name_Hall 'P 1'
loop_
_atom_site_label
_atom_site_type_symbol
_atom_site_fract_x
_atom_site_fract_y
_atom_site_fract_z
Ho1 Ho 0.000 0.000 0.000
Ho2 Ho 0.000 0.500 0.500
Te1 Te 0.500 0.000 0.353
Te2 Te 0.500 0.500 0.853
O1 O 0.189 0.197 0.305
O2 O 0.189 0.303 0.805
O3 O 0.344 0.740 0.606
O4 O 0.344 0.760 0.106
O5 O 0.656 0.240 0.106
O6 O 0.656 0.260 0.606
O7 O 0.811 0.697 0.805
O8 O 0.811 0.803 0.305
```


# Ho2Te2O7
Theoretical powder diffractogram, Cu Kα X-rays. Input: the PBE geometry in Alexandria.
Lines closer than 0.1° are merged.

Peak list (10 most intense, 15 to 90 degrees two-theta, by angle)
28.67 deg, intensity 96; 29.06 deg, intensity 33; 29.97 deg, intensity 42; 32.79 deg, intensity 100; 42.24 deg, intensity 39; 45.92 deg, intensity 34; 52.42 deg, intensity 26; 55.02 deg, intensity 22; 55.81 deg, intensity 37; 62.43 deg, intensity 22

```
data_Ho2Te2O7
_cell_length_a 7.194
_cell_length_b 7.194
_cell_length_c 7.194
_cell_angle_alpha 152.77
_cell_angle_beta 68.02
_cell_angle_gamma 119.02
_symmetry_space_group_name_H-M 'P 1'
_symmetry_Int_Tables_number 1
_symmetry_space_group_name_Hall 'P 1'
loop_
_atom_site_label
_atom_site_type_symbol
_atom_site_fract_x
_atom_site_fract_y
_atom_site_fract_z
Ho1 Ho 0.000 0.000 0.000
Ho2 Ho 0.506 0.006 0.500
Te1 Te 0.079 0.309 0.770
Te2 Te 0.539 0.309 0.230
O1 O 0.115 0.726 0.389
O2 O 0.128 0.935 0.192
O3 O 0.337 0.726 0.611
O4 O 0.388 0.515 0.872
O5 O 0.643 0.515 0.128
O6 O 0.743 0.935 0.808
O7 O 0.815 0.315 0.500
```


# Ho2Te5O13
Theoretical powder diffractogram, Cu Kα X-rays. Input: the PBE geometry in Alexandria.
Lines closer than 0.1° are merged.

Peak list (10 most intense, 15 to 90 degrees two-theta, by angle)
26.99 deg, intensity 100; 27.40 deg, intensity 59; 27.56 deg, intensity 47; 30.58 deg, intensity 34; 31.74 deg, intensity 26; 32.30 deg, intensity 24; 44.97 deg, intensity 14; 45.30 deg, intensity 14; 51.91 deg, intensity 15; 54.41 deg, intensity 15

```
data_Ho2Te5O13
_cell_length_a 7.011
_cell_length_b 8.768
_cell_length_c 10.780
_cell_angle_alpha 89.28
_cell_angle_beta 87.40
_cell_angle_gamma 75.09
_symmetry_space_group_name_H-M 'P 1'
_symmetry_Int_Tables_number 1
_symmetry_space_group_name_Hall 'P 1'
loop_
_atom_site_label
_atom_site_type_symbol
_atom_site_fract_x
_atom_site_fract_y
_atom_site_fract_z
Ho1 Ho 0.000 0.238 0.239
Ho2 Ho 0.000 0.762 0.761
Ho3 Ho 0.447 0.972 0.821
Ho4 Ho 0.553 0.028 0.179
Te1 Te 0.123 0.851 0.107
Te2 Te 0.154 0.304 0.645
Te3 Te 0.271 0.895 0.489
Te4 Te 0.292 0.375 0.977
Te5 Te 0.442 0.400 0.301
Te6 Te 0.558 0.600 0.699
Te7 Te 0.708 0.625 0.023
Te8 Te 0.729 0.105 0.511
Te9 Te 0.846 0.696 0.355
Te10 Te 0.877 0.149 0.893
O1 O 0.042 0.851 0.567
O2 O 0.060 0.317 0.039
O3 O 0.067 0.517 0.694
O4 O 0.068 0.765 0.275
O5 O 0.124 0.990 0.895
O6 O 0.236 0.996 0.187
O7 O 0.315 0.235 0.286
O8 O 0.326 0.730 0.777
O9 O 0.329 0.239 0.776
O10 O 0.337 0.015 0.619
O11 O 0.352 0.481 0.125
O12 O 0.458 0.695 0.521
O13 O 0.467 0.169 0.000
O14 O 0.533 0.831 0.000
O15 O 0.542 0.305 0.479
O16 O 0.648 0.519 0.875
O17 O 0.663 0.985 0.381
O18 O 0.671 0.761 0.224
O19 O 0.674 0.270 0.223
O20 O 0.685 0.765 0.714
O21 O 0.764 0.004 0.813
O22 O 0.876 0.010 0.105
O23 O 0.932 0.235 0.725
O24 O 0.933 0.483 0.306
O25 O 0.940 0.683 0.961
O26 O 0.958 0.149 0.433
```


> Number 5 is which compound?

Ho2Te2O7